1.
# Ca3Hf3AgF20
Computed powder diffractogram, λ = 1.5418 Å (Cu Kα). Input: a structure optimized by DFT (GGA-PBE).
Intensities are scaled so that the largest is 100.

Top 6 peaks for 5° ≤ 2θ ≤ 70°, sorted by position:
Position (°2θ)  Rel. int.
14.14  37
20.89  70
25.43  100
33.13  46
44.82  36
50.20  30

Structural model:
Lattice parameters (Å, degrees): 10.699 10.699 8.504 90.00 90.00 120.00
Fractional coordinates of all 54 atoms:
Ca 0.162 0.434 0.250
Ca 0.272 0.838 0.250
Ca 0.434 0.272 0.750
Ca 0.566 0.728 0.250
Ca 0.728 0.162 0.750
Ca 0.838 0.566 0.750
Hf 0.139 0.416 0.750
Hf 0.277 0.861 0.750
Hf 0.416 0.277 0.250
Hf 0.584 0.723 0.750
Hf 0.723 0.139 0.250
Hf 0.861 0.584 0.250
Ag 0.000 0.000 0.250
Ag 0.000 0.000 0.750
F 0.000 0.000 0.000
F 0.000 0.000 0.500
F 0.033 0.797 0.250
F 0.056 0.586 0.250
F 0.059 0.776 0.750
F 0.145 0.425 0.516
F 0.145 0.425 0.984
F 0.185 0.634 0.750
F 0.203 0.236 0.250
F 0.224 0.283 0.750
F 0.236 0.033 0.750
F 0.280 0.855 0.516
F 0.280 0.855 0.984
F 0.283 0.059 0.250
F 0.333 0.667 0.250
F 0.366 0.551 0.750
F 0.414 0.470 0.250
F 0.425 0.280 0.016
F 0.425 0.280 0.484
F 0.449 0.815 0.750
F 0.470 0.056 0.750
F 0.530 0.944 0.250
F 0.551 0.185 0.250
F 0.575 0.720 0.516
F 0.575 0.720 0.984
F 0.586 0.530 0.750
F 0.634 0.449 0.250
F 0.667 0.333 0.750
F 0.717 0.941 0.750
F 0.720 0.145 0.016
F 0.720 0.145 0.484
F 0.764 0.967 0.250
F 0.776 0.717 0.250
F 0.797 0.764 0.750
F 0.815 0.366 0.250
F 0.855 0.575 0.016
F 0.855 0.575 0.484
F 0.941 0.224 0.250
F 0.944 0.414 0.750
F 0.967 0.203 0.750


2.
# Ca2Ga7Ag
Computed powder diffractogram, λ = 1.5418 Å (Cu Kα). Input: a structure optimized by DFT (GGA-PBE).
Intensities are scaled so that the largest is 100.

Top 6 peaks for 5° ≤ 2θ ≤ 70°, sorted by position:
Position (°2θ)  Rel. int.
16.01  27
22.11  27
31.91  30
33.54  100
41.88  62
44.18  59

Structural model:
Lattice parameters (Å, degrees): 4.315 4.315 11.071 90.00 90.00 90.00
Fractional coordinates of all 10 atoms:
Ca 0.000 0.500 0.250
Ca 0.500 0.000 0.750
Ga 0.000 0.000 0.000
Ga 0.000 0.000 0.500
Ga 0.000 0.500 0.638
Ga 0.000 0.500 0.861
Ga 0.500 0.000 0.139
Ga 0.500 0.000 0.362
Ga 0.500 0.500 0.500
Ag 0.500 0.500 0.000


3.
# Ca2GaAg
Computed powder diffractogram, λ = 1.5418 Å (Cu Kα). Input: a structure optimized by DFT (GGA-PBE).
Intensities are scaled so that the largest is 100.

Top 6 peaks for 5° ≤ 2θ ≤ 70°, sorted by position:
Position (°2θ)  Rel. int.
15.32  58
23.11  56
30.38  89
36.79  62
37.66  100
39.47  36

Structural model:
Lattice parameters (Å, degrees): 4.566 6.132 6.132 38.87 90.00 90.00
Fractional coordinates of all 4 atoms:
Ca 0.000 0.000 0.000
Ca 0.500 0.291 0.291
Ga 0.000 0.715 0.715
Ag 0.500 0.580 0.580


4.
# CaAg2Ge2
Computed powder diffractogram, λ = 1.5418 Å (Cu Kα). Input: a structure optimized by DFT (GGA-PBE).
Intensities are scaled so that the largest is 100.

Top 6 peaks for 5° ≤ 2θ ≤ 70°, sorted by position:
Position (°2θ)  Rel. int.
16.11  40
21.85  17
31.83  17
33.21  100
41.25  54
44.04  54

Structural model:
Lattice parameters (Å, degrees): 6.313 6.313 6.313 139.43 139.43 58.71
Fractional coordinates of all 5 atoms:
Ca 0.000 0.000 0.000
Ag 0.250 0.750 0.500
Ag 0.750 0.250 0.500
Ge 0.389 0.389 0.000
Ge 0.611 0.611 0.000


5.
# CaAgGe
Computed powder diffractogram, λ = 1.5418 Å (Cu Kα). Input: a structure optimized by DFT (GGA-PBE).
Intensities are scaled so that the largest is 100.

Top 6 peaks for 5° ≤ 2θ ≤ 70°, sorted by position:
Position (°2θ)  Rel. int.
22.42  26
24.19  27
32.37  30
33.09  48
33.46  17
39.35  100

Structural model:
Lattice parameters (Å, degrees): 5.839 5.839 7.360 128.30 128.30 46.13
Fractional coordinates of all 6 atoms:
Ca 0.043 0.043 0.288
Ca 0.957 0.957 0.712
Ag 0.325 0.325 0.882
Ag 0.675 0.675 0.118
Ge 0.346 0.346 0.298
Ge 0.654 0.654 0.702


6.
# CaAgGe
Computed powder diffractogram, λ = 1.5418 Å (Cu Kα). Input: a structure optimized by DFT (GGA-PBE).
Intensities are scaled so that the largest is 100.

Top 6 peaks for 5° ≤ 2θ ≤ 70°, sorted by position:
Position (°2θ)  Rel. int.
24.54  33
33.40  100
38.93  29
39.00  42
39.26  75
46.84  28

Structural model:
Lattice parameters (Å, degrees): 21.768 4.618 7.933 90.00 90.00 90.00
Fractional coordinates of all 36 atoms:
Ca 0.001 0.250 0.220
Ca 0.166 0.750 0.707
Ca 0.167 0.250 0.292
Ca 0.333 0.750 0.792
Ca 0.334 0.250 0.207
Ca 0.499 0.750 0.720
Ca 0.501 0.250 0.280
Ca 0.666 0.750 0.793
Ca 0.667 0.250 0.208
Ca 0.833 0.750 0.708
Ca 0.834 0.250 0.293
Ca 0.999 0.750 0.780
Ag 0.064 0.250 0.582
Ag 0.096 0.750 0.080
Ag 0.236 0.750 0.087
Ag 0.264 0.250 0.587
Ag 0.404 0.250 0.580
Ag 0.436 0.750 0.082
Ag 0.564 0.250 0.918
Ag 0.596 0.750 0.420
Ag 0.736 0.750 0.413
Ag 0.764 0.250 0.913
Ag 0.904 0.250 0.920
Ag 0.936 0.750 0.418
Ge 0.073 0.750 0.408
Ge 0.103 0.250 0.911
Ge 0.228 0.250 0.918
Ge 0.272 0.750 0.418
Ge 0.397 0.750 0.411
Ge 0.427 0.250 0.908
Ge 0.573 0.750 0.092
Ge 0.603 0.250 0.589
Ge 0.728 0.250 0.582
Ge 0.772 0.750 0.082
Ge 0.897 0.750 0.089
Ge 0.927 0.250 0.592


Repeat the sixth record exactly.
# CaAgGe
Computed powder diffractogram, λ = 1.5418 Å (Cu Kα). Input: a structure optimized by DFT (GGA-PBE).
Intensities are scaled so that the largest is 100.

Top 6 peaks for 5° ≤ 2θ ≤ 70°, sorted by position:
Position (°2θ)  Rel. int.
24.54  33
33.40  100
38.93  29
39.00  42
39.26  75
46.84  28

Structural model:
Lattice parameters (Å, degrees): 21.768 4.618 7.933 90.00 90.00 90.00
Fractional coordinates of all 36 atoms:
Ca 0.001 0.250 0.220
Ca 0.166 0.750 0.707
Ca 0.167 0.250 0.292
Ca 0.333 0.750 0.792
Ca 0.334 0.250 0.207
Ca 0.499 0.750 0.720
Ca 0.501 0.250 0.280
Ca 0.666 0.750 0.793
Ca 0.667 0.250 0.208
Ca 0.833 0.750 0.708
Ca 0.834 0.250 0.293
Ca 0.999 0.750 0.780
Ag 0.064 0.250 0.582
Ag 0.096 0.750 0.080
Ag 0.236 0.750 0.087
Ag 0.264 0.250 0.587
Ag 0.404 0.250 0.580
Ag 0.436 0.750 0.082
Ag 0.564 0.250 0.918
Ag 0.596 0.750 0.420
Ag 0.736 0.750 0.413
Ag 0.764 0.250 0.913
Ag 0.904 0.250 0.920
Ag 0.936 0.750 0.418
Ge 0.073 0.750 0.408
Ge 0.103 0.250 0.911
Ge 0.228 0.250 0.918
Ge 0.272 0.750 0.418
Ge 0.397 0.750 0.411
Ge 0.427 0.250 0.908
Ge 0.573 0.750 0.092
Ge 0.603 0.250 0.589
Ge 0.728 0.250 0.582
Ge 0.772 0.750 0.082
Ge 0.897 0.750 0.089
Ge 0.927 0.250 0.592